(1)
The following is a calculated X-ray powder pattern of TcIrRuN2. It was derived from DFT lattice parameters and positions (GGA-PBE), using Cu Ka.
No peak broadening, texture or thermal motion is included.

Structure:
a = 3.6730 Å, b = 3.6730 Å, c = 5.6004 Å
α = 90.00°, β = 90.00°, γ = 90.00°
Space group P4/mmm (No. 123)
Inequivalent atoms, fractional coordinates:
Tc1 0.0000 0.0000 0.0000 [1 per cell]
Ir1 0.5000 0.5000 0.0000 [1 per cell]
Ru1 0.0000 0.0000 0.5000 [1 per cell]
N1 0.0000 0.5000 0.5000 [2 per cell]

The 10 most intense peaks (15 to 90 degrees two-theta), in order of rising 2θ:
2θ/deg  I/Imax  hkl
15.82  58  0 0 1
29.07  86  1 0 1
31.96  82  0 0 2
34.53  100  1 1 0
38.20  51  1 1 1
47.76  82  1 1 2
49.64  46  2 0 0
58.56  24  2 1 1
60.26  51  2 0 2
77.42  31  1 1 4

(2)
The following is a calculated X-ray powder pattern of SiIrN. It was derived from DFT lattice parameters and positions (GGA-PBE), using Cu Ka.
No peak broadening, texture or thermal motion is included.

Structure:
a = 2.7700 Å, b = 5.3166 Å, c = 4.7607 Å
α = 90.00°, β = 90.00°, γ = 90.00°
Space group Pmn2_1 (No. 31)
Inequivalent atoms, fractional coordinates:
Si1 0.0000 0.1240 0.0000 [2 per cell]
Ir1 0.0000 0.5026 0.5639 [2 per cell]
N1 0.0000 0.0586 0.6308 [2 per cell]

The 10 most intense peaks (15 to 90 degrees two-theta), in order of rising 2θ:
2θ/deg  I/Imax  hkl
16.67  100  0 1 0
33.72  32  0 2 0
37.57  37  1 0 1
37.79  28  0 0 2
41.36  71  1 1 1
41.57  25  0 1 2
51.36  38  1 2 1
51.55  28  0 3 0
70.67  15  1 1 3
83.14  16  1 4 1

(3)
The following is a calculated X-ray powder pattern of Sr3Ir2N4. It was derived from DFT lattice parameters and positions (GGA-PBE), using Cu Ka.
No peak broadening, texture or thermal motion is included.

Structure:
a = 11.4015 Å, b = 9.3694 Å, c = 5.5820 Å
α = 90.00°, β = 92.63°, γ = 90.00°
Space group C2/c (No. 15)
Inequivalent atoms, fractional coordinates:
Sr1 0.0000 0.0934 0.2500 [4 per cell]
Sr2 0.1198 0.3463 0.5555 [8 per cell]
Ir1 0.2344 0.1156 0.9150 [8 per cell]
N1 0.1078 0.3218 0.0395 [8 per cell]
N2 0.1673 0.0637 0.5762 [8 per cell]

The 10 most intense peaks (15 to 90 degrees two-theta), in order of rising 2θ:
2θ/deg  I/Imax  hkl
15.56  86  2 0 0
20.39  21  1 1 1
29.43  83  3 1 -1
29.83  100  2 2 1
34.00  24  1 3 1
34.12  52  1 1 -2
38.43  39  0 4 0
40.30  45  3 3 -1
43.99  26  1 3 -2
64.25  23  4 2 3

(4)
The following is a calculated X-ray powder pattern of Sr10IrN8. It was derived from DFT lattice parameters and positions (GGA-PBE), using Cu Ka.
No peak broadening, texture or thermal motion is included.

Structure:
a = 22.2969 Å, b = 4.8426 Å, c = 8.7752 Å
α = 90.00°, β = 108.75°, γ = 90.00°
Space group C2/m (No. 12)
Inequivalent atoms, fractional coordinates:
Sr1 0.0287 0.0000 0.3387 [4 per cell]
Sr2 0.0974 0.5000 0.7494 [4 per cell]
Sr3 0.1425 0.5000 0.2344 [4 per cell]
Sr4 0.1993 0.0000 0.0357 [4 per cell]
Sr5 0.2030 0.0000 0.6062 [4 per cell]
Ir1 0.0000 0.5000 0.0000 [2 per cell]
N1 0.0181 0.5000 0.2148 [4 per cell]
N2 0.0894 0.0000 0.6334 [4 per cell]
N3 0.1894 0.5000 0.0084 [4 per cell]
N4 0.1915 0.0000 0.3221 [4 per cell]

The 10 most intense peaks (15 to 90 degrees two-theta), in order of rising 2θ:
2θ/deg  I/Imax  hkl
20.97  39  1 1 -1
26.49  27  3 1 1
28.04  100  3 1 -2
31.39  28  4 0 2
32.12  21  8 0 -1
32.47  22  5 1 1
35.05  23  7 1 0
37.13  42  0 2 0
49.17  22  1 1 4
49.36  27  4 2 2

(5)
The following is a calculated X-ray powder pattern of TaV2IrN. It was derived from DFT lattice parameters and positions (GGA-PBE), using Cu Ka.
No peak broadening, texture or thermal motion is included.

Structure:
a = 3.9331 Å, b = 3.9331 Å, c = 4.2167 Å
α = 90.00°, β = 90.00°, γ = 90.00°
Space group P4/mmm (No. 123)
Inequivalent atoms, fractional coordinates:
Ta1 0.0000 0.0000 0.0000 [1 per cell]
V1 0.0000 0.5000 0.5000 [2 per cell]
Ir1 0.5000 0.5000 0.0000 [1 per cell]
N1 0.0000 0.0000 0.5000 [1 per cell]

The 10 most intense peaks (15 to 90 degrees two-theta), in order of rising 2θ:
2θ/deg  I/Imax  hkl
21.07  35  0 0 1
32.19  31  1 1 0
38.79  100  1 1 1
42.90  21  0 0 2
46.16  34  2 0 0
51.26  15  2 0 1
54.63  15  1 1 2
64.83  24  2 0 2
75.84  14  1 1 3
80.52  24  3 1 1

(6)
The following is a calculated X-ray powder pattern of Th2IrN. It was derived from DFT lattice parameters and positions (GGA-PBE), using Cu Ka.
No peak broadening, texture or thermal motion is included.

Structure:
a = 5.8014 Å, b = 5.8385 Å, c = 11.7185 Å
α = 90.00°, β = 116.13°, γ = 90.00°
Space group P2/c (No. 13)
Inequivalent atoms, fractional coordinates:
Th1 0.0942 0.2493 0.1055 [4 per cell]
Th2 0.3369 0.2951 0.8551 [4 per cell]
Ir1 0.3907 0.2082 0.3785 [4 per cell]
N1 0.0630 0.3438 0.6251 [4 per cell]

The 10 most intense peaks (15 to 90 degrees two-theta), in order of rising 2θ:
2θ/deg  I/Imax  hkl
26.94  34  1 1 1
28.12  36  1 1 -3
29.72  34  0 1 3
30.62  97  0 2 0
30.88  100  2 0 -2
34.09  68  0 0 4
44.05  62  2 2 -2
46.47  46  0 2 4
48.13  29  2 0 -6
58.12  31  2 2 -6

Repeat the third record exactly.
The following is a calculated X-ray powder pattern of Sr3Ir2N4. It was derived from DFT lattice parameters and positions (GGA-PBE), using Cu Ka.
No peak broadening, texture or thermal motion is included.

Structure:
a = 11.4015 Å, b = 9.3694 Å, c = 5.5820 Å
α = 90.00°, β = 92.63°, γ = 90.00°
Space group C2/c (No. 15)
Inequivalent atoms, fractional coordinates:
Sr1 0.0000 0.0934 0.2500 [4 per cell]
Sr2 0.1198 0.3463 0.5555 [8 per cell]
Ir1 0.2344 0.1156 0.9150 [8 per cell]
N1 0.1078 0.3218 0.0395 [8 per cell]
N2 0.1673 0.0637 0.5762 [8 per cell]

The 10 most intense peaks (15 to 90 degrees two-theta), in order of rising 2θ:
2θ/deg  I/Imax  hkl
15.56  86  2 0 0
20.39  21  1 1 1
29.43  83  3 1 -1
29.83  100  2 2 1
34.00  24  1 3 1
34.12  52  1 1 -2
38.43  39  0 4 0
40.30  45  3 3 -1
43.99  26  1 3 -2
64.25  23  4 2 3

Which formula does entry 2 have? SiIrN